No. 1
This entry pairs a crystal structure of DyBiN with its calculated powder X-ray diffraction pattern. Radiation: Cu Kα. Structure: DFT lattice parameters and positions (PBE).
Kinematic intensities with the Lorentz-polarization factor, no thermal factor.

Most intense lines, 2θ = 10–80°, by angle:
27.57°, d 3.235, intensity 57; 28.57°, d 3.124, intensity 100; 31.40°, d 2.849, intensity 38; 40.13°, d 2.247, intensity 82; 42.27°, d 2.138, intensity 41; 54.18°, d 1.693, intensity 15; 56.93°, d 1.617, intensity 21; 61.85°, d 1.500, intensity 20; 64.92°, d 1.436, intensity 20; 66.47°, d 1.407, intensity 22

Unit cell a=8.621 b=7.471 c=6.813 alpha=74.09 beta=56.45 gamma=49.47
Fractional positions:
Dy 0.109 0.641 0.109
Dy 0.359 0.891 0.359
Dy 0.641 0.109 0.641
Dy 0.891 0.359 0.891
Bi 0.157 0.593 0.593
Bi 0.407 0.843 0.843
Bi 0.593 0.157 0.157
Bi 0.843 0.407 0.407
N 0.000 0.000 0.000
N 0.000 0.000 0.500
N 0.000 0.500 0.000
N 0.500 0.000 0.000

No. 2
This entry pairs a crystal structure of Dy4Bi3N with its calculated powder X-ray diffraction pattern. Radiation: Cu Kα. Structure: DFT lattice parameters and positions (PBE).
Kinematic intensities with the Lorentz-polarization factor, no thermal factor.

Most intense lines, 2θ = 10–80°, by angle:
20.55°, d 4.322, intensity 43; 20.92°, d 4.247, intensity 100; 28.34°, d 3.150, intensity 92; 30.97°, d 2.888, intensity 38; 35.48°, d 2.530, intensity 78; 36.21°, d 2.480, intensity 66; 36.87°, d 2.438, intensity 33; 37.45°, d 2.402, intensity 33; 46.61°, d 1.949, intensity 58; 47.14°, d 1.928, intensity 29

Unit cell a=9.752 b=8.643 c=6.299 alpha=90.00 beta=90.00 gamma=90.00
Fractional positions:
Dy 0.000 0.086 0.000
Dy 0.000 0.819 0.568
Dy 0.202 0.699 0.002
Dy 0.298 0.301 0.502
Dy 0.500 0.181 0.068
Dy 0.500 0.914 0.500
Dy 0.702 0.301 0.502
Dy 0.798 0.699 0.002
Bi 0.000 0.161 0.489
Bi 0.230 0.339 0.991
Bi 0.270 0.661 0.491
Bi 0.500 0.839 0.989
Bi 0.730 0.661 0.491
Bi 0.770 0.339 0.991
N 0.000 0.823 0.926
N 0.500 0.177 0.426

No. 3
This entry pairs a crystal structure of Nd4Dy2Bi3N2 with its calculated powder X-ray diffraction pattern. Radiation: Cu Kα. Structure: DFT lattice parameters and positions (PBE).
Kinematic intensities with the Lorentz-polarization factor, no thermal factor.

Most intense lines, 2θ = 10–80°, by angle:
26.95°, d 3.309, intensity 34; 27.18°, d 3.281, intensity 13; 29.46°, d 3.032, intensity 18; 33.26°, d 2.694, intensity 100; 34.16°, d 2.624, intensity 15; 37.19°, d 2.418, intensity 53; 51.39°, d 1.778, intensity 19; 53.61°, d 1.710, intensity 18; 62.84°, d 1.479, intensity 15; 64.57°, d 1.443, intensity 30

Unit cell a=13.560 b=13.560 c=13.560 alpha=159.46 beta=159.46 gamma=29.21
Fractional positions:
Nd 0.085 0.585 0.500
Nd 0.415 0.915 0.500
Nd 0.585 0.085 0.500
Nd 0.915 0.415 0.500
Dy 0.191 0.191 0.000
Dy 0.809 0.809 0.000
Bi 0.317 0.317 0.000
Bi 0.500 0.500 0.000
Bi 0.683 0.683 0.000
N 0.108 0.108 0.000
N 0.892 0.892 0.000

No. 4
This entry pairs a crystal structure of PmDyBiN with its calculated powder X-ray diffraction pattern. Radiation: Cu Kα. Structure: DFT lattice parameters and positions (PBE).
Kinematic intensities with the Lorentz-polarization factor, no thermal factor.

Most intense lines, 2θ = 10–80°, by angle:
27.39°, d 3.256, intensity 24; 28.89°, d 3.090, intensity 55; 29.07°, d 3.071, intensity 72; 33.64°, d 2.664, intensity 100; 39.14°, d 2.302, intensity 57; 49.37°, d 1.846, intensity 51; 56.54°, d 1.628, intensity 20; 57.18°, d 1.611, intensity 33; 64.77°, d 1.439, intensity 38; 67.43°, d 1.389, intensity 28

Unit cell a=4.604 b=4.604 c=9.271 alpha=90.00 beta=90.00 gamma=90.00
Fractional positions:
Pm 0.250 0.250 0.181
Pm 0.750 0.750 0.819
Dy 0.250 0.750 0.500
Dy 0.750 0.250 0.500
Bi 0.250 0.250 0.808
Bi 0.750 0.750 0.192
N 0.250 0.250 0.429
N 0.750 0.750 0.571

What did the first record say?
This entry pairs a crystal structure of DyBiN with its calculated powder X-ray diffraction pattern. Radiation: Cu Kα. Structure: DFT lattice parameters and positions (PBE).
Kinematic intensities with the Lorentz-polarization factor, no thermal factor.

Most intense lines, 2θ = 10–80°, by angle:
27.57°, d 3.235, intensity 57; 28.57°, d 3.124, intensity 100; 31.40°, d 2.849, intensity 38; 40.13°, d 2.247, intensity 82; 42.27°, d 2.138, intensity 41; 54.18°, d 1.693, intensity 15; 56.93°, d 1.617, intensity 21; 61.85°, d 1.500, intensity 20; 64.92°, d 1.436, intensity 20; 66.47°, d 1.407, intensity 22

Unit cell a=8.621 b=7.471 c=6.813 alpha=74.09 beta=56.45 gamma=49.47
Fractional positions:
Dy 0.109 0.641 0.109
Dy 0.359 0.891 0.359
Dy 0.641 0.109 0.641
Dy 0.891 0.359 0.891
Bi 0.157 0.593 0.593
Bi 0.407 0.843 0.843
Bi 0.593 0.157 0.157
Bi 0.843 0.407 0.407
N 0.000 0.000 0.000
N 0.000 0.000 0.500
N 0.000 0.500 0.000
N 0.500 0.000 0.000